SrAg2Cl4: calculated powder XRD pattern (copper Kα), based on a DFT-relaxed cell (GGA-PBE, Alexandria).
No peak broadening, texture or thermal motion is included.

The 10 most intense peaks (2θ = 10–90°), in order of falling intensity:
- d 3.751, intensity 100, hkl 1 -1 1
- d 2.169, intensity 55, hkl 1 0 -3
- d 3.631, intensity 47, hkl 0 0 2
- d 3.017, intensity 44, hkl 1 1 0
- d 7.263, intensity 41, hkl 0 0 1
- d 3.107, intensity 33, hkl 0 2 -1
- d 2.221, intensity 31, hkl 2 -1 0
- d 3.083, intensity 31, hkl 0 2 0
- d 2.149, intensity 27, hkl -1 2 2
- d 2.629, intensity 26, hkl 0 2 1

Structure:
Lattice parameters (Å, degrees): 4.4414 6.7104 7.4633 102.53 90.07 109.21
Sites, in units of the cell vectors:
Sr 0.0000 0.0000 0.0000
Ag 0.3716 0.7456 0.4453
Ag 0.6284 0.2544 0.5547
Cl 0.1304 0.2602 0.3805
Cl 0.3809 0.7597 0.1077
Cl 0.6191 0.2403 0.8923
Cl 0.8696 0.7398 0.6195



Na2AgI3: calculated powder XRD pattern (copper Kα), based on a DFT-relaxed cell (GGA-PBE, Alexandria).
No peak broadening, texture or thermal motion is included.

The 10 most intense peaks (2θ = 10–90°), in order of falling intensity:
- d 2.471, intensity 100, hkl 0 6 0
- d 3.992, intensity 88, hkl 1 0 1
- d 4.050, intensity 87, hkl 0 3 1
- d 2.101, intensity 29, hkl 1 6 1
- d 2.077, intensity 28, hkl 2 3 1
- d 6.382, intensity 23, hkl 0 1 1
- d 2.419, intensity 20, hkl 2 0 0
- d 1.427, intensity 19, hkl 1 9 2
- d 3.457, intensity 16, hkl 1 3 0
- d 1.407, intensity 14, hkl 3 3 2

Structure:
Lattice parameters (Å, degrees): 4.8373 14.8253 7.0704 90.00 90.00 90.00
Sites, in units of the cell vectors:
Na 0.0000 0.1639 0.0000
Na 0.0000 0.8361 0.0000
Na 0.5000 0.3361 0.5000
Na 0.5000 0.6639 0.5000
Ag 0.0000 0.5000 0.0017
Ag 0.5000 0.0000 0.5017
I 0.0000 0.0000 0.7262
I 0.0000 0.3406 0.7685
I 0.0000 0.6594 0.7685
I 0.5000 0.1594 0.2685
I 0.5000 0.5000 0.2262
I 0.5000 0.8406 0.2685



SrAl2Se: calculated powder XRD pattern (copper Kα), based on a DFT-relaxed cell (GGA-PBE, Alexandria).
No peak broadening, texture or thermal motion is included.

The 10 most intense peaks (2θ = 10–90°), in order of falling intensity:
- d 3.234, intensity 100, hkl 1 1 1
- d 2.319, intensity 45, hkl 3 1 0
- d 3.580, intensity 40, hkl 2 0 -1
- d 2.490, intensity 33, hkl 1 1 -2
- d 4.003, intensity 29, hkl 1 1 0
- d 6.024, intensity 29, hkl 0 0 1
- d 2.308, intensity 28, hkl 0 2 0
- d 2.588, intensity 24, hkl 2 0 -2
- d 2.331, intensity 20, hkl 1 1 2
- d 2.256, intensity 20, hkl 3 1 -1

Structure:
Lattice parameters (Å, degrees): 8.1223 4.6150 6.0814 90.00 97.90 90.00
Sites, in units of the cell vectors:
Sr 0.0000 0.0000 0.0000
Sr 0.5000 0.5000 0.0000
Al 0.1264 0.5000 0.6331
Al 0.2935 0.0000 0.6386
Al 0.6264 0.0000 0.6331
Al 0.7935 0.5000 0.6386
Se 0.1945 0.5000 0.2389
Se 0.6945 0.0000 0.2389